NaHg2Ir2: simulated powder X-ray diffraction pattern (λ = 1.5418 Å (Cu Kα)), based on a PBE-relaxed structure.
Kinematic intensities with the Lorentz-polarization factor, no thermal factor.

Largest 6 diffraction maxima, by intensity, 2θ from 10° to 90°:
| hkl | Position (°2θ) | Rel. int. |
| --- | --- | --- |
| 2 1 1 | 39.33 | 100 |
| 1 1 0 | 15.38 | 66 |
| 3 2 0 | 39.89 | 35 |
| 2 0 1 | 37.68 | 31 |
| 4 1 0 | 45.92 | 27 |
| 3 1 0 | 34.82 | 27 |

Structure:
```
NaHg2Ir2
1.0
8.1484 0.0000 0.0000
0.0000 8.1484 0.0000
0.0000 0.0000 2.9462
Na Hg Ir
2 4 4
direct
0.0000 0.0000 0.0000 Na
0.5000 0.5000 0.0000 Na
0.1863 0.3137 0.5000 Hg
0.3137 0.8137 0.5000 Hg
0.6863 0.1863 0.5000 Hg
0.8137 0.6863 0.5000 Hg
0.1103 0.6103 0.0000 Ir
0.3897 0.1103 0.0000 Ir
0.6103 0.8897 0.0000 Ir
0.8897 0.3897 0.0000 Ir
```